# Cs3Cd2SnF9
Simulated powder diffractogram, Cu Kα (λ = 1.5418 Å). Input: a cell relaxed with GGA-PBE.

Structure:
Lattice parameters (Å, degrees): 6.5520 6.5520 8.0363 90.00 90.00 120.00
Space group P-3m1 (No. 164)
Inequivalent atoms, fractional coordinates:
1 Cs 0.0000 0.0000 0.0000 [1 per cell]
2 Cs 0.3333 0.6667 0.6710 [2 per cell]
3 Cd 0.3333 0.6667 0.1604 [2 per cell]
4 Sn 0.0000 0.0000 0.5000 [1 per cell]
5 F 0.0000 0.5000 0.0000 [3 per cell]
6 F 0.1707 0.3413 0.3264 [6 per cell]

Principal peaks in the range 2θ = 10–90°, in order of rising 2θ:
- (1 1 0), 2θ 27.21, d 3.278, I 100.0
- (0 2 1), 2θ 33.49, d 2.676, I 4.0
- (2 0 2), 2θ 38.86, d 2.318, I 34.8
- (3 0 0), 2θ 48.08, d 1.892, I 42.0
- (2 2 0), 2θ 56.12, d 1.639, I 22.4
- (3 1 2), 2θ 63.46, d 1.466, I 18.6
- (0 4 2), 2θ 70.39, d 1.338, I 5.5
- (1 3 4), 2θ 76.93, d 1.239, I 10.7
- (4 1 0), 2θ 77.01, d 1.238, I 10.9
- (5 0 2), 2θ 89.75, d 1.093, I 9.6